This entry pairs a crystal structure of YCoW2O8 with its computed X-ray powder pattern. Radiation: CuKα. Structure: DFT lattice parameters and positions (PBE+U).
Neutral-atom scattering factors, no anomalous dispersion.

Cell and atoms:
```
YCoW2O8
1.0
5.1944 0.0000 0.0000
0.0000 5.8632 0.0000
-0.6193 0.0000 9.9479
Y Co W O
2 2 4 16
Direct
0.0000 0.0000 0.0000
0.5000 0.3338 0.5000
0.0000 0.9887 0.5000
0.5000 0.3780 0.0000
0.0031 0.4897 0.2467
0.4993 0.8224 0.2572
0.5007 0.8224 0.7428
0.9969 0.4897 0.7533
0.1232 0.2716 0.3744
0.1711 0.2958 0.8908
0.1954 0.7716 0.8463
0.1989 0.7543 0.3612
0.3013 0.5714 0.1374
0.3270 0.5415 0.6535
0.3457 0.0137 0.6121
0.3600 0.0372 0.1395
0.6400 0.0372 0.8605
0.6543 0.0137 0.3879
0.6730 0.5415 0.3465
0.6987 0.5714 0.8626
0.8011 0.7543 0.6388
0.8046 0.7716 0.1537
0.8289 0.2958 0.1092
0.8768 0.2716 0.6256
```

Main lines, in order of falling intensity (15° ≤ 2θ ≤ 90°):
- 28.49°, intensity 100, (1 1 -2)
- 29.84°, intensity 87, (1 1 2)
- 23.45°, intensity 57, (0 1 2)
- 35.17°, intensity 39, (1 2 0)
- 17.83°, intensity 37, (0 0 2)
- 22.90°, intensity 31, (1 1 0)
- 34.60°, intensity 30, (2 0 0)
- 50.15°, intensity 28, (0 3 2)
- 52.13°, intensity 23, (1 2 4)
- 50.45°, intensity 22, (1 2 -4)